The following is a theoretical powder X-ray diffraction pattern of Ca3LaIn4. It was derived from a crystal structure in Alexandria, relaxed with PBE, using CuKα.
Kinematic intensities with the Lorentz-polarization factor, no thermal factor.

Crystal structure
Cell: 5.4923 5.4923 27.0161 Å, 90.00 90.00 120.00°
Space group R-3m (No. 166, hexagonal axes)
Inequivalent atoms, fractional coordinates:
Ca: 0.0000 0.0000 0.0000 (multiplicity 3)
Ca: 0.0000 0.0000 0.2514 (multiplicity 6)
La: 0.0000 0.0000 0.5000 (multiplicity 3)
In: 0.0000 0.0000 0.1241 (multiplicity 6)
In: 0.0000 0.0000 0.3744 (multiplicity 6)

Peak list (12 most intense, 5° ≤ 2θ ≤ 70°, in order of rising 2θ)
2θ = 9.82°, rel. 4, hkl 0 0 3
2θ = 18.94°, rel. 3, hkl 1 0 1
2θ = 19.77°, rel. 4, hkl 0 1 2
2θ = 22.87°, rel. 9, hkl 1 0 4
2θ = 24.94°, rel. 2, hkl 0 1 5
2θ = 32.56°, rel. 100, hkl 1 1 0
2θ = 40.20°, rel. 2, hkl 0 2 4
2θ = 46.72°, rel. 18, hkl 2 0 8
2θ = 57.96°, rel. 9, hkl 1 0 16
2θ = 58.15°, rel. 27, hkl 3 0 0
2θ = 68.10°, rel. 5, hkl 0 2 16
2θ = 68.31°, rel. 5, hkl 2 2 0